Calculated powder XRD pattern of InTe5Pb4 for Cu Kα, from a cell relaxed with GGA-PBE.
Lines closer than 0.1° are merged.

abc: 4.5993 4.5993 33.1287
angles: 90.00 90.00 90.00
Space group I4/mmm (No. 139)
Inequivalent atoms, fractional coordinates:
In 0.0000 0.0000 0.0000 (multiplicity 2)
Te 0.0000 0.0000 0.0995 (multiplicity 4)
Te 0.0000 0.0000 0.3001 (multiplicity 4)
Te 0.0000 0.0000 0.5000 (multiplicity 2)
Pb 0.0000 0.0000 0.1998 (multiplicity 4)
Pb 0.0000 0.0000 0.4001 (multiplicity 4)

Main lines, by angle (2θ from 10° to 90°):
| Position (°2θ) | Rel. int. | index |
| --- | --- | --- |
| 26.91 | 52.4 | 0 0 10 |
| 27.42 | 100.0 | 1 1 0 |
| 38.80 | 80.3 | 1 1 10 |
| 39.17 | 39.1 | 2 0 0 |
| 48.17 | 43.7 | 2 0 10 |
| 56.60 | 13.4 | 2 2 0 |
| 62.97 | 19.5 | 1 1 20 |
| 63.76 | 18.9 | 2 2 10 |
| 64.02 | 18.6 | 3 1 0 |
| 70.00 | 14.3 | 2 0 20 |
| 70.74 | 27.8 | 3 1 10 |
| 89.72 | 15.8 | 3 1 20 |